1.
Mn2NiSnO6: simulated XRD peak list (Cu Kα X-rays), based on DFT lattice parameters and positions (GGA+U).

Top 6 peaks for 2θ from 15° to 90°, in order of rising 2θ:
- d 3.850, 2θ = 23.1°, I = 100
- d 2.863, 2θ = 31.2°, I = 99
- d 2.757, 2θ = 32.5°, I = 84
- d 2.747, 2θ = 32.6°, I = 83
- d 2.627, 2θ = 34.1°, I = 83
- d 2.617, 2θ = 34.3°, I = 85

Crystal structure
Cell lengths 5.2018, 5.2405, 5.5277 Å; angles 64.36, 62.16, 60.47 degrees
Space group P1 (No. 1)
Asymmetric unit:
Mn: 0.0000 0.0000 0.0000 x1
Mn: 0.4977 0.5022 0.5030 x1
Ni: 0.7043 0.7050 0.8944 x1
Sn: 0.1990 0.2059 0.3915 x1
O: 0.1201 0.4136 0.6915 x1
O: 0.2810 0.9111 0.1914 x1
O: 0.3932 0.7997 0.7017 x1
O: 0.6058 0.2926 0.2083 x1
O: 0.8009 0.1038 0.7220 x1
O: 0.8807 0.5979 0.2234 x1

---

2.
Li3Co2Si2O8: simulated XRD peak list (Cu Kα X-rays), based on DFT lattice parameters and positions (GGA+U).

Top 6 peaks for 2θ from 15° to 90°, in order of rising 2θ:
- d 4.171, 2θ = 21.3°, I = 65
- d 4.025, 2θ = 22.1°, I = 58
- d 3.226, 2θ = 27.6°, I = 34
- d 3.197, 2θ = 27.9°, I = 100
- d 2.664, 2θ = 33.6°, I = 88
- d 2.546, 2θ = 35.3°, I = 71

Crystal structure
Cell lengths 6.5733, 5.0910, 10.6585 Å; angles 90.00, 90.88, 90.00 degrees
Space group Pc (No. 7)
Asymmetric unit:
Li: 0.0000 0.0570 0.0000 x2
Li: 0.7721 0.4376 0.4041 x2
Li: 0.7740 0.0643 0.2362 x2
Co: 0.2804 0.4539 0.4242 x2
Co: 0.2878 0.0631 0.2274 x2
Si: 0.0230 0.4341 0.6682 x2
Si: 0.5385 0.0562 0.9851 x2
O: 0.0377 0.1097 0.6673 x2
O: 0.0490 0.4649 0.0169 x2
O: 0.2290 0.4501 0.2460 x2
O: 0.3241 0.0732 0.4173 x2
O: 0.5183 0.3766 0.9537 x2
O: 0.5269 0.0011 0.6346 x2
O: 0.7450 0.0501 0.4227 x2
O: 0.8254 0.4436 0.2286 x2